Theoretical powder XRD pattern of Rb2VCdO4 for Cu Ka, from a crystal structure in Alexandria, relaxed with PBE+U.

Structural model:
```
data_Rb2VCdO4
_space_group_name_H-M_alt 'P 1'
_space_group_IT_number 1
_cell_length_a 12.449
_cell_length_b 11.184
_cell_length_c 6.853
_cell_angle_alpha 83.61
_cell_angle_beta 63.23
_cell_angle_gamma 33.16
loop_
_space_group_symop_operation_xyz
'x,y,z'
loop_
_atom_site_label
_atom_site_type_symbol
_atom_site_fract_x
_atom_site_fract_y
_atom_site_fract_z
_atom_site_occupancy
Rb1 Rb 0.055 0.055 0.695 1
Rb2 Rb 0.305 0.305 0.945 1
Rb3 Rb 0.695 0.695 0.055 1
Rb4 Rb 0.945 0.945 0.305 1
V1 V 0.375 0.375 0.375 1
V2 V 0.625 0.625 0.625 1
Cd1 Cd 0.125 0.125 0.125 1
Cd2 Cd 0.875 0.875 0.875 1
O1 O 0.065 0.597 0.517 1
O2 O 0.321 0.517 0.597 1
O3 O 0.403 0.935 0.679 1
O4 O 0.483 0.679 0.935 1
O5 O 0.517 0.321 0.065 1
O6 O 0.597 0.065 0.321 1
O7 O 0.679 0.483 0.403 1
O8 O 0.935 0.403 0.483 1
```

Main lines, sorted by position (2θ = 10–90°):
16.45 deg, d 5.390, I 83
26.70 deg, d 3.339, I 63
28.68 deg, d 3.112, I 100
28.80 deg, d 3.100, I 46
33.71 deg, d 2.659, I 51
33.93 deg, d 2.642, I 64
39.74 deg, d 2.268, I 52
49.82 deg, d 1.830, I 41